Starting from a GGA-PBE-relaxed structure, the X-ray powder pattern of Er8Ni2Bi was computed for Cu Kα (weighted mean of Kα1 and Kα2).

Largest 6 diffraction maxima, in order of falling intensity, 15 to 90 degrees two-theta:
- 2θ 32.21, d = 2.779 Å, rel. 100, (0 4 1)
- 2θ 34.79, d = 2.579 Å, rel. 90, (2 4 0)
- 2θ 30.30, d = 2.949 Å, rel. 84, (2 0 1)
- 2θ 33.49, d = 2.676 Å, rel. 69, (3 1 -1)
- 2θ 34.13, d = 2.627 Å, rel. 55, (1 1 -2)
- 2θ 27.13, d = 3.286 Å, rel. 42, (1 3 -1)

Cell lengths 8.5823, 13.1159, 5.3825 Å; angles 90.00, 103.35, 90.00 degrees
Space group C2/m (No. 12)
One atom of each set of equivalent atoms:
Er (0.0000, 0.2488, 0.0000) x4
Er (0.1015, 0.0000, 0.7958) x4
Er (0.2072, 0.3698, 0.5847) x8
Ni (0.0000, 0.1964, 0.5000) x4
Bi (0.0000, 0.5000, 0.0000) x2